Tl2FeCoO4: calculated powder diffractogram (Cu Kα), based on a crystal structure in Alexandria, relaxed with GGA+U.

Crystal structure
a = 11.5949 Å, b = 10.1193 Å, c = 6.8538 Å
α = 83.82°, β = 60.19°, γ = 35.99°
Element x y z (fractional)
Tl: 0.0479 0.0479 0.7021
Tl: 0.2979 0.2979 0.9521
Tl: 0.7021 0.7021 0.0479
Tl: 0.9521 0.9521 0.2979
Fe: 0.1250 0.1250 0.1250
Fe: 0.8750 0.8750 0.8750
Co: 0.3750 0.3750 0.3750
Co: 0.6250 0.6250 0.6250
O: 0.0758 0.5461 0.7004
O: 0.1777 0.7004 0.5461
O: 0.2996 0.8223 0.9242
O: 0.4539 0.9242 0.8223
O: 0.5461 0.0758 0.1777
O: 0.7004 0.1777 0.0758
O: 0.8223 0.2996 0.4539
O: 0.9242 0.4539 0.2996

Top 6 peaks for 2θ = 15–90°, in order of rising 2θ:
two_theta	d (Å)	I (rel.)
22.41	3.968	100.0
28.40	3.143	59.3
30.19	2.960	42.9
30.99	2.885	57.7
35.83	2.506	38.6
52.57	1.741	37.6